[1]
Structure and calculated XRD peak list of Pm3AgBi (a structure optimized by DFT (GGA-PBE); Cu Kα).
Kinematic intensities with the Lorentz-polarization factor, no thermal factor.

Top 12 peaks for 2θ from 10° to 90°, by angle:
| two_theta | I/Imax |
| --- | --- |
| 24.80 | 12 |
| 28.37 | 48 |
| 29.16 | 25 |
| 30.75 | 100 |
| 31.83 | 22 |
| 33.41 | 20 |
| 36.22 | 18 |
| 38.86 | 12 |
| 41.49 | 22 |
| 43.07 | 16 |
| 43.32 | 25 |
| 50.18 | 13 |

Cell and atoms:
```
data_Pm3AgBi
_chemical_formula_sum 'Pm12 Ag4 Bi4'
_symmetry_space_group_name_H-M 'P 1'
_symmetry_Int_Tables_number 1
_cell_length_a 9.459
_cell_length_b 9.459
_cell_length_c 7.446
_cell_angle_alpha 100.52
_cell_angle_beta 100.52
_cell_angle_gamma 93.02
loop_
_symmetry_equiv_pos_as_xyz
'x,y,z'
loop_
_atom_site_label
_atom_site_fract_x
_atom_site_fract_y
_atom_site_fract_z
Pm1 0.047 0.784 0.957
Pm2 0.173 0.562 0.348
Pm3 0.216 0.953 0.543
Pm4 0.251 0.406 0.895
Pm5 0.406 0.251 0.395
Pm6 0.438 0.827 0.152
Pm7 0.562 0.173 0.848
Pm8 0.594 0.749 0.605
Pm9 0.749 0.594 0.105
Pm10 0.784 0.047 0.457
Pm11 0.827 0.438 0.652
Pm12 0.953 0.216 0.043
Ag1 0.304 0.696 0.750
Ag2 0.485 0.515 0.250
Ag3 0.515 0.485 0.750
Ag4 0.696 0.304 0.250
Bi1 0.075 0.256 0.484
Bi2 0.256 0.075 0.984
Bi3 0.744 0.925 0.016
Bi4 0.925 0.744 0.516
```

---

[2]
Structure and calculated XRD peak list of PrAgBi3 (a structure optimized by DFT (GGA-PBE); Cu Kα).
Kinematic intensities with the Lorentz-polarization factor, no thermal factor.

Top 12 peaks for 2θ from 10° to 90°, by angle:
| two_theta | I/Imax |
| --- | --- |
| 27.34 | 36 |
| 27.94 | 20 |
| 30.14 | 40 |
| 30.42 | 100 |
| 32.36 | 53 |
| 33.22 | 27 |
| 33.52 | 52 |
| 33.77 | 31 |
| 36.34 | 22 |
| 39.03 | 38 |
| 39.59 | 27 |
| 65.11 | 24 |

Cell and atoms:
```
data_PrAgBi3
_chemical_formula_sum 'Pr4 Ag4 Bi12'
_symmetry_space_group_name_H-M 'P 1'
_symmetry_Int_Tables_number 1
_cell_length_a 13.829
_cell_length_b 6.492
_cell_length_c 6.563
_cell_angle_alpha 90.00
_cell_angle_beta 90.00
_cell_angle_gamma 90.00
loop_
_symmetry_equiv_pos_as_xyz
'x,y,z'
loop_
_atom_site_label
_atom_site_fract_x
_atom_site_fract_y
_atom_site_fract_z
Pr1 0.187 0.005 0.250
Pr2 0.187 0.495 0.750
Pr3 0.813 0.505 0.250
Pr4 0.813 0.995 0.750
Ag1 0.380 0.250 0.000
Ag2 0.380 0.250 0.500
Ag3 0.620 0.750 0.000
Ag4 0.620 0.750 0.500
Bi1 0.001 0.250 0.000
Bi2 0.001 0.250 0.500
Bi3 0.244 0.511 0.250
Bi4 0.244 0.989 0.750
Bi5 0.434 0.685 0.750
Bi6 0.434 0.815 0.250
Bi7 0.566 0.185 0.750
Bi8 0.566 0.315 0.250
Bi9 0.756 0.011 0.250
Bi10 0.756 0.489 0.750
Bi11 0.999 0.750 0.000
Bi12 0.999 0.750 0.500
```

---

[3]
Structure and calculated XRD peak list of AgBiPt (a structure optimized by DFT (GGA-PBE); Cu Kα).
Kinematic intensities with the Lorentz-polarization factor, no thermal factor.

Top 12 peaks for 2θ from 10° to 90°, by angle:
| two_theta | I/Imax |
| --- | --- |
| 19.72 | 8 |
| 34.16 | 71 |
| 38.57 | 100 |
| 39.75 | 6 |
| 49.08 | 26 |
| 61.81 | 6 |
| 64.10 | 45 |
| 71.94 | 8 |
| 72.55 | 15 |
| 82.10 | 12 |
| 82.68 | 11 |
| 84.73 | 11 |

Cell and atoms:
```
data_AgBiPt
_chemical_formula_sum 'Ag1 Bi1 Pt1'
_symmetry_space_group_name_H-M 'P 1'
_symmetry_Int_Tables_number 1
_cell_length_a 5.212
_cell_length_b 5.212
_cell_length_c 5.212
_cell_angle_alpha 138.28
_cell_angle_beta 138.28
_cell_angle_gamma 60.48
loop_
_symmetry_equiv_pos_as_xyz
'x,y,z'
loop_
_atom_site_label
_atom_site_fract_x
_atom_site_fract_y
_atom_site_fract_z
Ag1 0.000 0.000 0.000
Bi1 0.684 0.684 0.000
Pt1 0.333 0.333 0.000
```

---

[4]
Structure and calculated XRD peak list of RbAg3Bi3 (a structure optimized by DFT (GGA-PBE); Cu Kα).
Kinematic intensities with the Lorentz-polarization factor, no thermal factor.

Top 12 peaks for 2θ from 10° to 90°, by angle:
| two_theta | I/Imax |
| --- | --- |
| 15.70 | 59 |
| 22.27 | 41 |
| 24.94 | 25 |
| 27.37 | 100 |
| 39.09 | 60 |
| 42.37 | 62 |
| 45.45 | 42 |
| 51.18 | 18 |
| 63.87 | 18 |
| 66.23 | 27 |
| 73.08 | 19 |
| 79.68 | 23 |

Cell and atoms:
```
data_RbAg3Bi3
_chemical_formula_sum 'Rb2 Ag6 Bi6'
_symmetry_space_group_name_H-M 'P 1'
_symmetry_Int_Tables_number 1
_cell_length_a 7.982
_cell_length_b 7.982
_cell_length_c 7.982
_cell_angle_alpha 90.00
_cell_angle_beta 90.00
_cell_angle_gamma 90.00
loop_
_symmetry_equiv_pos_as_xyz
'x,y,z'
loop_
_atom_site_label
_atom_site_fract_x
_atom_site_fract_y
_atom_site_fract_z
Rb1 0.000 0.000 0.000
Rb2 0.500 0.500 0.500
Ag1 0.000 0.250 0.500
Ag2 0.000 0.750 0.500
Ag3 0.250 0.500 0.000
Ag4 0.500 0.000 0.250
Ag5 0.500 0.000 0.750
Ag6 0.750 0.500 0.000
Bi1 0.000 0.500 0.250
Bi2 0.000 0.500 0.750
Bi3 0.250 0.000 0.500
Bi4 0.500 0.250 0.000
Bi5 0.500 0.750 0.000
Bi6 0.750 0.000 0.500
```

---

[5]
Structure and calculated XRD peak list of Rb5AgBi2 (a structure optimized by DFT (GGA-PBE); Cu Kα).
Kinematic intensities with the Lorentz-polarization factor, no thermal factor.

Top 12 peaks for 2θ from 10° to 90°, by angle:
| two_theta | I/Imax |
| --- | --- |
| 16.26 | 32 |
| 17.01 | 13 |
| 25.86 | 43 |
| 27.90 | 100 |
| 33.29 | 20 |
| 35.95 | 12 |
| 38.41 | 15 |
| 48.14 | 16 |
| 49.36 | 21 |
| 52.88 | 11 |
| 57.65 | 13 |
| 79.26 | 11 |

Cell and atoms:
```
data_Rb5AgBi2
_chemical_formula_sum 'Rb5 Ag1 Bi2'
_symmetry_space_group_name_H-M 'P 1'
_symmetry_Int_Tables_number 1
_cell_length_a 10.908
_cell_length_b 10.908
_cell_length_c 10.908
_cell_angle_alpha 34.10
_cell_angle_beta 34.10
_cell_angle_gamma 34.10
loop_
_symmetry_equiv_pos_as_xyz
'x,y,z'
loop_
_atom_site_label
_atom_site_fract_x
_atom_site_fract_y
_atom_site_fract_z
Rb1 0.000 0.000 0.000
Rb2 0.132 0.132 0.132
Rb3 0.282 0.282 0.282
Rb4 0.718 0.718 0.718
Rb5 0.868 0.868 0.868
Ag1 0.500 0.500 0.500
Bi1 0.409 0.409 0.409
Bi2 0.591 0.591 0.591
```

---

[6]
Structure and calculated XRD peak list of Rb6AgBi2 (a structure optimized by DFT (GGA-PBE); Cu Kα).
Kinematic intensities with the Lorentz-polarization factor, no thermal factor.

Top 12 peaks for 2θ from 10° to 90°, by angle:
| two_theta | I/Imax |
| --- | --- |
| 15.90 | 35 |
| 25.22 | 45 |
| 27.38 | 100 |
| 29.31 | 21 |
| 37.57 | 16 |
| 38.28 | 10 |
| 40.76 | 16 |
| 47.11 | 17 |
| 48.41 | 21 |
| 53.54 | 12 |
| 56.51 | 13 |
| 77.55 | 11 |

Cell and atoms:
```
data_Rb6AgBi2
_chemical_formula_sum 'Rb6 Ag1 Bi2'
_symmetry_space_group_name_H-M 'P 1'
_symmetry_Int_Tables_number 1
_cell_length_a 12.644
_cell_length_b 12.644
_cell_length_c 12.644
_cell_angle_alpha 29.85
_cell_angle_beta 29.85
_cell_angle_gamma 29.85
loop_
_symmetry_equiv_pos_as_xyz
'x,y,z'
loop_
_atom_site_label
_atom_site_fract_x
_atom_site_fract_y
_atom_site_fract_z
Rb1 0.076 0.076 0.076
Rb2 0.198 0.198 0.198
Rb3 0.311 0.311 0.311
Rb4 0.689 0.689 0.689
Rb5 0.802 0.802 0.802
Rb6 0.924 0.924 0.924
Ag1 0.500 0.500 0.500
Bi1 0.422 0.422 0.422
Bi2 0.578 0.578 0.578
```

---

[7]
Structure and calculated XRD peak list of RbAgBiSe2 (a structure optimized by DFT (GGA-PBE); Cu Kα).
Kinematic intensities with the Lorentz-polarization factor, no thermal factor.

Top 12 peaks for 2θ from 10° to 90°, by angle:
| two_theta | I/Imax |
| --- | --- |
| 11.47 | 100 |
| 23.05 | 29 |
| 26.34 | 45 |
| 30.90 | 81 |
| 31.14 | 47 |
| 33.28 | 76 |
| 35.28 | 32 |
| 37.05 | 42 |
| 39.10 | 46 |
| 40.14 | 26 |
| 47.11 | 21 |
| 47.45 | 29 |

Cell and atoms:
```
data_RbAgBiSe2
_chemical_formula_sum 'Rb2 Ag2 Bi2 Se4'
_symmetry_space_group_name_H-M 'P 1'
_symmetry_Int_Tables_number 1
_cell_length_a 8.367
_cell_length_b 8.367
_cell_length_c 6.243
_cell_angle_alpha 90.00
_cell_angle_beta 90.00
_cell_angle_gamma 134.51
loop_
_symmetry_equiv_pos_as_xyz
'x,y,z'
loop_
_atom_site_label
_atom_site_fract_x
_atom_site_fract_y
_atom_site_fract_z
Rb1 0.250 0.750 0.752
Rb2 0.750 0.250 0.248
Ag1 0.000 0.000 0.500
Ag2 0.500 0.500 0.500
Bi1 0.250 0.250 0.000
Bi2 0.750 0.750 0.000
Se1 0.134 0.866 0.260
Se2 0.366 0.634 0.260
Se3 0.634 0.366 0.740
Se4 0.866 0.134 0.740
```

---

[8]
Structure and calculated XRD peak list of RbAgBiTe2 (a structure optimized by DFT (GGA-PBE); Cu Kα).
Kinematic intensities with the Lorentz-polarization factor, no thermal factor.

Top 12 peaks for 2θ from 10° to 90°, by angle:
| two_theta | I/Imax |
| --- | --- |
| 10.87 | 97 |
| 25.02 | 78 |
| 28.70 | 100 |
| 30.16 | 53 |
| 32.15 | 82 |
| 33.45 | 66 |
| 34.58 | 72 |
| 37.54 | 45 |
| 38.20 | 45 |
| 44.51 | 32 |
| 45.31 | 34 |
| 54.34 | 32 |

Cell and atoms:
```
data_RbAgBiTe2
_chemical_formula_sum 'Rb2 Ag2 Bi2 Te4'
_symmetry_space_group_name_H-M 'P 1'
_symmetry_Int_Tables_number 1
_cell_length_a 8.785
_cell_length_b 8.785
_cell_length_c 6.731
_cell_angle_alpha 90.00
_cell_angle_beta 90.00
_cell_angle_gamma 135.88
loop_
_symmetry_equiv_pos_as_xyz
'x,y,z'
loop_
_atom_site_label
_atom_site_fract_x
_atom_site_fract_y
_atom_site_fract_z
Rb1 0.250 0.750 0.759
Rb2 0.750 0.250 0.241
Ag1 0.000 0.000 0.500
Ag2 0.500 0.500 0.500
Bi1 0.250 0.250 0.000
Bi2 0.750 0.750 0.000
Te1 0.134 0.866 0.264
Te2 0.366 0.634 0.264
Te3 0.634 0.366 0.736
Te4 0.866 0.134 0.736
```